# 1
For HoSeO4F, a cell relaxed with PBE gives the simulated X-ray powder pattern in this record (Cu Kα X-rays).

Most intense lines, 10 to 90 degrees two-theta, sorted by position:
2theta	d/Å	Rel. int.	index
13.72	6.453	70.7	0 0 1
20.23	4.390	63.0	2 0 0
24.91	3.575	100.0	0 2 0
27.60	3.232	58.4	2 0 1
29.46	3.032	79.8	1 1 -2
32.34	2.768	61.5	3 1 -1

Crystal structure
```
data_HoSeO4F
_symmetry_space_group_name_H-M 'C 1 2/m 1'
_symmetry_Int_Tables_number 12
_cell_length_a 9.145
_cell_length_b 7.149
_cell_length_c 6.722
_cell_angle_alpha 90.00
_cell_angle_beta 106.26
_cell_angle_gamma 90.00
loop_
_symmetry_equiv_pos_as_xyz
'x,y,z'
'-x,-y,-z'
'-x,y,-z'
'x,-y,z'
'x+1/2,y+1/2,z'
'-x+1/2,-y+1/2,-z'
'-x+1/2,y+1/2,-z'
'x+1/2,-y+1/2,z'
loop_
_atom_site_label
_atom_site_type_symbol
_atom_site_fract_x
_atom_site_fract_y
_atom_site_fract_z
Ho1 Ho 0.205 0.000 0.117
Se1 Se 0.150 0.500 0.282
O1 O 0.032 0.500 0.734
O2 O 0.195 0.322 0.143
O3 O 0.240 0.000 0.479
F1 F 0.020 0.000 0.827
```

# 2
For Pr3PuIn12, a cell relaxed with PBE gives the simulated X-ray powder pattern in this record (Cu Kα X-rays).

Most intense lines, 10 to 90 degrees two-theta, sorted by position:
2theta	d/Å	Rel. int.	index
32.90	2.723	100.0	1 1 4
38.17	2.358	49.9	2 0 0
55.08	1.667	33.6	2 2 0
65.58	1.424	12.9	1 1 12
65.71	1.421	26.2	3 1 4
68.99	1.361	11.2	2 2 8

Crystal structure
```
data_Pr3PuIn12
_symmetry_space_group_name_H-M 'P 4/m m m'
_symmetry_Int_Tables_number 123
_symmetry_space_group_name_Hall '-P 4 2'
_cell_length_a 4.712
_cell_length_b 4.712
_cell_length_c 18.893
_cell_angle_alpha 90.00
_cell_angle_beta 90.00
_cell_angle_gamma 90.00
loop_
_atom_site_label
_atom_site_type_symbol
_atom_site_fract_x
_atom_site_fract_y
_atom_site_fract_z
Pr1 Pr 0.000 0.000 0.000
Pr2 Pr 0.000 0.000 0.251
Pu1 Pu 0.000 0.000 0.500
In1 In 0.000 0.500 0.126
In2 In 0.000 0.500 0.379
In3 In 0.500 0.500 0.000
In4 In 0.500 0.500 0.252
In5 In 0.500 0.500 0.500
```

# 3
For AgHg6I2, a cell relaxed with PBE gives the simulated X-ray powder pattern in this record (Cu Kα X-rays).

Most intense lines, 10 to 90 degrees two-theta, sorted by position:
2theta	d/Å	Rel. int.	index
28.31	3.153	100.0	0 2 -1
29.68	3.009	34.2	1 1 2
30.05	2.973	29.0	-1 1 2
39.07	2.306	23.4	0 1 4
41.96	2.153	25.8	2 0 0
45.06	2.012	16.6	0 3 3

Crystal structure
```
data_AgHg6I2
_symmetry_space_group_name_H-M 'P -1'
_symmetry_Int_Tables_number 2
_cell_length_a 4.307
_cell_length_b 7.114
_cell_length_c 9.390
_cell_angle_alpha 81.93
_cell_angle_beta 89.80
_cell_angle_gamma 88.89
loop_
_symmetry_equiv_pos_as_xyz
'x,y,z'
'-x,-y,-z'
loop_
_atom_site_label
_atom_site_type_symbol
_atom_site_fract_x
_atom_site_fract_y
_atom_site_fract_z
Ag1 Ag 0.000 0.000 0.000
Hg1 Hg 0.003 0.218 0.455
Hg2 Hg 0.009 0.577 0.135
Hg3 Hg 0.497 0.354 0.654
I1 I 0.490 0.879 0.817
```

# 4
For GaGe3Ir3, a cell relaxed with PBE gives the simulated X-ray powder pattern in this record (Cu Kα X-rays).

Most intense lines, 10 to 90 degrees two-theta, sorted by position:
2theta	d/Å	Rel. int.	index
28.83	3.096	72.1	2 1 1
37.50	2.399	100.0	3 0 1
39.40	2.287	53.5	3 1 1
43.00	2.104	64.4	3 0 2
44.70	2.027	74.4	3 2 1
49.55	1.840	41.3	3 2 2

Crystal structure
```
data_GaGe3Ir3
_symmetry_space_group_name_H-M 'P 21 3'
_symmetry_Int_Tables_number 198
_symmetry_space_group_name_Hall 'P 2ac 2ab 3'
_cell_length_a 7.585
_cell_length_b 7.585
_cell_length_c 7.585
_cell_angle_alpha 90.00
_cell_angle_beta 90.00
_cell_angle_gamma 90.00
loop_
_atom_site_label
_atom_site_type_symbol
_atom_site_fract_x
_atom_site_fract_y
_atom_site_fract_z
Ga1 Ga 0.074 0.426 0.574
Ge1 Ge 0.093 0.593 0.907
Ge2 Ge 0.120 0.120 0.120
Ge3 Ge 0.215 0.785 0.285
Ir1 Ir 0.057 0.787 0.626
```

# 5
For TaMn4P2, a cell relaxed with PBE gives the simulated X-ray powder pattern in this record (Cu Kα X-rays).

Most intense lines, 10 to 90 degrees two-theta, sorted by position:
2theta	d/Å	Rel. int.	index
18.39	4.824	44.4	0 0 4
29.96	2.982	100.0	1 1 1
37.28	2.412	45.1	0 0 8
37.84	2.378	62.3	1 1 5
43.28	2.090	40.0	0 2 2
44.51	2.036	94.4	1 1 7

Crystal structure
```
data_TaMn4P2
_symmetry_space_group_name_H-M 'F m m m'
_symmetry_Int_Tables_number 69
_symmetry_space_group_name_Hall '-F 2 2'
_cell_length_a 4.256
_cell_length_b 4.282
_cell_length_c 19.297
_cell_angle_alpha 90.00
_cell_angle_beta 90.00
_cell_angle_gamma 90.00
loop_
_atom_site_label
_atom_site_type_symbol
_atom_site_fract_x
_atom_site_fract_y
_atom_site_fract_z
Ta1 Ta 0.000 0.000 0.000
Mn1 Mn 0.000 0.000 0.143
Mn2 Mn 0.250 0.250 0.250
P1 P 0.000 0.000 0.409
```

# 6
For La5PmZn6, a cell relaxed with PBE gives the simulated X-ray powder pattern in this record (Cu Kα X-rays).

Most intense lines, 10 to 90 degrees two-theta, sorted by position:
2theta	d/Å	Rel. int.	index
23.76	3.745	12.5	1 3 0
33.85	2.648	100.0	2 0 0
48.63	1.872	17.8	2 6 0
60.54	1.529	24.1	2 0 4
60.63	1.527	12.1	3 3 2
71.20	1.324	9.1	2 6 4

Crystal structure
```
data_La5PmZn6
_symmetry_space_group_name_H-M 'C m m m'
_symmetry_Int_Tables_number 65
_symmetry_space_group_name_Hall '-C 2 2'
_cell_length_a 5.288
_cell_length_b 15.892
_cell_length_c 7.499
_cell_angle_alpha 90.00
_cell_angle_beta 90.00
_cell_angle_gamma 90.00
loop_
_atom_site_label
_atom_site_type_symbol
_atom_site_fract_x
_atom_site_fract_y
_atom_site_fract_z
La1 La 0.000 0.000 0.000
La2 La 0.000 0.331 0.000
La3 La 0.000 0.333 0.500
Pm1 Pm 0.000 0.000 0.500
Zn1 Zn 0.000 0.164 0.254
Zn2 Zn 0.000 0.500 0.256
```